Structure and simulated powder diffractogram of PrAlCd3 (DFT lattice parameters and positions (GGA-PBE); CuKα).

Structural model:
Cell: 9.0749 4.5066 11.7912 Å, 90.00 90.00 90.00°
Fractional positions:
1 Pr 0.1861 0.2500 0.0013
2 Pr 0.3139 0.7500 0.5013
3 Pr 0.6861 0.2500 0.4987
4 Pr 0.8139 0.7500 0.9987
5 Al 0.1170 0.2500 0.6325
6 Al 0.3830 0.7500 0.1325
7 Al 0.6170 0.2500 0.8675
8 Al 0.8830 0.7500 0.3675
9 Cd 0.0695 0.2500 0.3997
10 Cd 0.0987 0.7500 0.2030
11 Cd 0.1331 0.7500 0.7973
12 Cd 0.3669 0.2500 0.2973
13 Cd 0.4013 0.2500 0.7030
14 Cd 0.4305 0.7500 0.8997
15 Cd 0.5695 0.2500 0.1003
16 Cd 0.5987 0.7500 0.2970
17 Cd 0.6331 0.7500 0.7027
18 Cd 0.8669 0.2500 0.2027
19 Cd 0.9013 0.2500 0.7970
20 Cd 0.9305 0.7500 0.6003

Principal peaks in the range 2θ = 10–90°, by angle:
d (Å), two_theta, I/Imax, h k l
2.930, 30.51, 10.6, 3 0 1
2.813, 31.81, 100.0, 2 1 2
2.457, 36.58, 16.8, 3 1 1
2.282, 39.48, 18.2, 1 0 5
2.253, 40.01, 20.1, 0 2 0
2.117, 42.72, 8.1, 4 0 2
1.670, 54.99, 7.8, 4 1 4
1.604, 57.47, 11.7, 1 2 5
1.434, 65.03, 7.0, 6 1 0
1.386, 67.57, 10.8, 2 3 2